Theoretical XRD peak list
Compound: CsZn4B3O9
Radiation: Cu Kα, 1.54184 Å
Structure: DFT lattice parameters and positions (GGA-PBE)
Lines closer than 0.1° are merged.

Structure:
```
data_CsZn4B3O9
_chemical_formula_sum 'Cs2 Zn8 B6 O18'
_cell_length_a 6.8201
_cell_length_b 5.0362
_cell_length_c 12.8555
_cell_angle_alpha 90.00
_cell_angle_beta 91.62
_cell_angle_gamma 90.00
_symmetry_space_group_name_H-M 'P 1 2/c 1'
_symmetry_Int_Tables_number 13
loop_
_symmetry_equiv_pos_as_xyz
'x,y,z'
'-x,-y,-z'
'-x,y,-z+1/2'
'x,-y,z+1/2'
loop_
_atom_site_label
_atom_site_type_symbol
_atom_site_fract_x
_atom_site_fract_y
_atom_site_fract_z
Cs1 Cs 0.0000 0.2360 0.2500
Zn1 Zn 0.2092 0.3340 0.5619
Zn2 Zn 0.4856 0.1484 0.1261
B1 B 0.1926 0.1560 0.9549
B2 B 0.5000 0.3460 0.7500
O1 O 0.0502 0.2576 0.8919
O2 O 0.2642 0.1037 0.4405
O3 O 0.2753 0.2976 0.0384
O4 O 0.4025 0.2085 0.6714
O5 O 0.5000 0.3787 0.2500
```

Most intense lines, 2θ = 15–90°, by angle:
| h k l | d (Å) | 2θ (°) | Rel. int. |
| --- | --- | --- | --- |
| 0 1 1 | 4.689 | 18.9 | 47 |
| 2 0 -2 | 3.047 | 29.3 | 60 |
| 2 0 2 | 2.971 | 30.1 | 100 |
| 1 0 -4 | 2.938 | 30.4 | 48 |
| 1 1 3 | 2.919 | 30.6 | 75 |
| 2 1 -1 | 2.771 | 32.3 | 51 |

=====

Theoretical XRD peak list
Compound: CsTcB4
Radiation: Cu Kα, 1.54184 Å
Structure: DFT lattice parameters and positions (GGA-PBE)
Lines closer than 0.1° are merged.

Structure:
```
data_CsTcB4
_chemical_formula_sum 'Cs1 Tc1 B4'
_cell_length_a 3.0977
_cell_length_b 3.0977
_cell_length_c 8.8390
_cell_angle_alpha 90.00
_cell_angle_beta 90.00
_cell_angle_gamma 120.00
_symmetry_space_group_name_H-M 'P 6/m m m'
_symmetry_Int_Tables_number 191
_symmetry_space_group_name_Hall '-P 6 2'
loop_
_atom_site_label
_atom_site_type_symbol
_atom_site_fract_x
_atom_site_fract_y
_atom_site_fract_z
Cs1 Cs 0.0000 0.0000 0.0000
Tc1 Tc 0.0000 0.0000 0.5000
B1 B 0.3333 0.6667 0.3165
```

Most intense lines, 2θ = 15–90°, by angle:
| h k l | d (Å) | 2θ (°) | Rel. int. |
| --- | --- | --- | --- |
| 0 0 2 | 4.420 | 20.1 | 69 |
| 1 0 0 | 2.683 | 33.4 | 62 |
| 1 0 2 | 2.293 | 39.3 | 100 |
| 1 0 4 | 1.706 | 53.7 | 37 |
| 1 1 0 | 1.549 | 59.7 | 16 |
| 1 1 2 | 1.462 | 63.7 | 19 |

=====

Theoretical XRD peak list
Compound: TbDy2Cu2B2N3
Radiation: Cu Kα, 1.54184 Å
Structure: DFT lattice parameters and positions (GGA-PBE)
Lines closer than 0.1° are merged.

Structure:
```
data_TbDy2Cu2B2N3
_chemical_formula_sum 'Tb2 Dy4 Cu4 B4 N6'
_cell_length_a 3.4911
_cell_length_b 3.4911
_cell_length_c 20.4429
_cell_angle_alpha 90.00
_cell_angle_beta 90.00
_cell_angle_gamma 90.00
_symmetry_space_group_name_H-M 'I 4/m m m'
_symmetry_Int_Tables_number 139
_symmetry_space_group_name_Hall '-I 4 2'
loop_
_atom_site_label
_atom_site_type_symbol
_atom_site_fract_x
_atom_site_fract_y
_atom_site_fract_z
Tb1 Tb 0.0000 0.0000 0.0000
Dy1 Dy 0.0000 0.0000 0.3789
Cu1 Cu 0.0000 0.5000 0.2500
B1 B 0.0000 0.0000 0.1846
N1 N 0.0000 0.0000 0.1142
N2 N 0.0000 0.0000 0.5000
```

Most intense lines, 2θ = 15–90°, by angle:
| h k l | d (Å) | 2θ (°) | Rel. int. |
| --- | --- | --- | --- |
| 1 0 3 | 3.107 | 28.7 | 100 |
| 1 0 5 | 2.655 | 33.8 | 96 |
| 0 0 8 | 2.555 | 35.1 | 58 |
| 1 1 0 | 2.469 | 36.4 | 41 |
| 1 1 2 | 2.400 | 37.5 | 49 |
| 2 0 0 | 1.746 | 52.4 | 40 |

=====

Theoretical XRD peak list
Compound: DyYCu2B2N2
Radiation: Cu Kα, 1.54184 Å
Structure: DFT lattice parameters and positions (GGA-PBE)
Lines closer than 0.1° are merged.

Structure:
```
data_DyYCu2B2N2
_chemical_formula_sum 'Dy1 Y1 Cu2 B2 N2'
_cell_length_a 3.5051
_cell_length_b 3.5051
_cell_length_c 7.6990
_cell_angle_alpha 90.00
_cell_angle_beta 90.00
_cell_angle_gamma 90.00
_symmetry_space_group_name_H-M 'P 4 m m'
_symmetry_Int_Tables_number 99
loop_
_symmetry_equiv_pos_as_xyz
'x,y,z'
'-y,x,z'
'-x,-y,z'
'y,-x,z'
'-x,y,z'
'y,x,z'
'x,-y,z'
'-y,-x,z'
loop_
_atom_site_label
_atom_site_type_symbol
_atom_site_fract_x
_atom_site_fract_y
_atom_site_fract_z
Dy1 Dy 0.0000 0.0000 0.0000
Y1 Y 0.5000 0.5000 0.3301
Cu1 Cu 0.0000 0.5000 0.6653
B1 B 0.0000 0.0000 0.4912
B2 B 0.5000 0.5000 0.8390
N1 N 0.0000 0.0000 0.3032
N2 N 0.5000 0.5000 0.0266
```

Most intense lines, 2θ = 15–90°, by angle:
| h k l | d (Å) | 2θ (°) | Rel. int. |
| --- | --- | --- | --- |
| 1 0 1 | 3.190 | 28.0 | 94 |
| 1 0 2 | 2.592 | 34.6 | 71 |
| 0 0 3 | 2.566 | 35.0 | 63 |
| 1 1 1 | 2.359 | 38.1 | 100 |
| 1 1 2 | 2.084 | 43.4 | 67 |
| 2 0 0 | 1.753 | 52.2 | 45 |

=====

Theoretical XRD peak list
Compound: FeCu2B
Radiation: Cu Kα, 1.54184 Å
Structure: DFT lattice parameters and positions (GGA-PBE)
Lines closer than 0.1° are merged.

Structure:
```
data_FeCu2B
_chemical_formula_sum 'Fe4 Cu8 B4'
_cell_length_a 5.4157
_cell_length_b 5.4157
_cell_length_c 5.4157
_cell_angle_alpha 90.00
_cell_angle_beta 90.00
_cell_angle_gamma 90.00
_symmetry_space_group_name_H-M 'F -4 3 m'
_symmetry_Int_Tables_number 216
_symmetry_space_group_name_Hall 'F -4 2 3'
loop_
_atom_site_label
_atom_site_type_symbol
_atom_site_fract_x
_atom_site_fract_y
_atom_site_fract_z
Fe1 Fe 0.0000 0.0000 0.0000
Cu1 Cu 0.0000 0.0000 0.5000
Cu2 Cu 0.2500 0.2500 0.7500
B1 B 0.2500 0.2500 0.2500
```

Most intense lines, 2θ = 15–90°, by angle:
| h k l | d (Å) | 2θ (°) | Rel. int. |
| --- | --- | --- | --- |
| 1 1 1 | 3.127 | 28.5 | 25 |
| 2 0 0 | 2.708 | 33.1 | 9 |
| 2 2 0 | 1.915 | 47.5 | 100 |
| 3 1 1 | 1.633 | 56.3 | 11 |
| 4 0 0 | 1.354 | 69.4 | 14 |
| 4 2 2 | 1.105 | 88.4 | 29 |

=====

Theoretical XRD peak list
Compound: FeCu5B2
Radiation: Cu Kα, 1.54184 Å
Structure: DFT lattice parameters and positions (GGA-PBE)
Lines closer than 0.1° are merged.

Structure:
```
data_FeCu5B2
_chemical_formula_sum 'Fe1 Cu5 B2'
_cell_length_a 3.5869
_cell_length_b 3.5869
_cell_length_c 6.2627
_cell_angle_alpha 90.00
_cell_angle_beta 90.00
_cell_angle_gamma 90.00
_symmetry_space_group_name_H-M 'P 4/m m m'
_symmetry_Int_Tables_number 123
_symmetry_space_group_name_Hall '-P 4 2'
loop_
_atom_site_label
_atom_site_type_symbol
_atom_site_fract_x
_atom_site_fract_y
_atom_site_fract_z
Fe1 Fe 0.0000 0.0000 0.0000
Cu1 Cu 0.0000 0.5000 0.2550
Cu2 Cu 0.5000 0.5000 0.5000
B1 B 0.0000 0.0000 0.5000
B2 B 0.5000 0.5000 0.0000
```

Most intense lines, 2θ = 15–90°, by angle:
| h k l | d (Å) | 2θ (°) | Rel. int. |
| --- | --- | --- | --- |
| 1 0 1 | 3.113 | 28.7 | 27 |
| 1 1 2 | 1.971 | 46.1 | 100 |
| 2 0 0 | 1.793 | 50.9 | 36 |
| 0 0 4 | 1.566 | 59.0 | 11 |
| 2 0 2 | 1.555 | 59.4 | 11 |
| 2 0 4 | 1.179 | 81.6 | 16 |

=====

Theoretical XRD peak list
Compound: ZnFeCu4B2
Radiation: Cu Kα, 1.54184 Å
Structure: DFT lattice parameters and positions (GGA-PBE)
Lines closer than 0.1° are merged.

Structure:
```
data_ZnFeCu4B2
_chemical_formula_sum 'Zn1 Fe1 Cu4 B2'
_cell_length_a 3.6309
_cell_length_b 3.6309
_cell_length_c 6.4429
_cell_angle_alpha 90.00
_cell_angle_beta 90.00
_cell_angle_gamma 90.00
_symmetry_space_group_name_H-M 'P 4/m m m'
_symmetry_Int_Tables_number 123
_symmetry_space_group_name_Hall '-P 4 2'
loop_
_atom_site_label
_atom_site_type_symbol
_atom_site_fract_x
_atom_site_fract_y
_atom_site_fract_z
Zn1 Zn 0.0000 0.0000 0.0000
Fe1 Fe 0.5000 0.5000 0.5000
Cu1 Cu 0.0000 0.5000 0.2487
B1 B 0.0000 0.0000 0.5000
B2 B 0.5000 0.5000 0.0000
```

Most intense lines, 2θ = 15–90°, by angle:
| h k l | d (Å) | 2θ (°) | Rel. int. |
| --- | --- | --- | --- |
| 1 0 1 | 3.163 | 28.2 | 27 |
| 1 1 2 | 2.008 | 45.2 | 100 |
| 2 0 0 | 1.815 | 50.3 | 36 |
| 0 0 4 | 1.611 | 57.2 | 12 |
| 2 2 0 | 1.284 | 73.8 | 10 |
| 2 0 4 | 1.205 | 79.6 | 16 |

=====

Theoretical XRD peak list
Compound: Ga2CuB
Radiation: Cu Kα, 1.54184 Å
Structure: DFT lattice parameters and positions (GGA-PBE)
Lines closer than 0.1° are merged.

Structure:
```
data_Ga2CuB
_chemical_formula_sum 'Ga8 Cu4 B4'
_cell_length_a 6.0390
_cell_length_b 6.0390
_cell_length_c 6.0390
_cell_angle_alpha 90.00
_cell_angle_beta 90.00
_cell_angle_gamma 90.00
_symmetry_space_group_name_H-M 'F -4 3 m'
_symmetry_Int_Tables_number 216
_symmetry_space_group_name_Hall 'F -4 2 3'
loop_
_atom_site_label
_atom_site_type_symbol
_atom_site_fract_x
_atom_site_fract_y
_atom_site_fract_z
Ga1 Ga 0.0000 0.0000 0.0000
Ga2 Ga 0.2500 0.2500 0.2500
Cu1 Cu 0.2500 0.2500 0.7500
B1 B 0.0000 0.0000 0.5000
```

Most intense lines, 2θ = 15–90°, by angle:
| h k l | d (Å) | 2θ (°) | Rel. int. |
| --- | --- | --- | --- |
| 1 1 1 | 3.487 | 25.5 | 22 |
| 2 0 0 | 3.019 | 29.6 | 10 |
| 2 2 0 | 2.135 | 42.3 | 100 |
| 3 1 1 | 1.821 | 50.1 | 11 |
| 4 0 0 | 1.510 | 61.4 | 16 |
| 4 2 2 | 1.233 | 77.4 | 31 |